(1)
Structure and simulated X-ray powder pattern of Ba3WO6 (a PBE+U-relaxed structure; Cu Kα, 1.54184 Å).
Peak positions follow from Bragg's law for the DFT cell and can differ from measured ones.

Top 10 peaks for 2θ = 10–90°, sorted by position:
Position (°2θ)  Rel. int.
26.95  469
27.67  988
28.54  1000
28.97  524
39.99  437
40.35  266
50.43  210
50.56  186
51.08  218
59.06  144

Structural model:
```
data_Ba3WO6
_symmetry_space_group_name_H-M 'P 1'
_symmetry_Int_Tables_number 1
_cell_length_a 6.1635
_cell_length_b 6.6226
_cell_length_c 8.9510
_cell_angle_alpha 87.45
_cell_angle_beta 89.93
_cell_angle_gamma 89.87
loop_
_symmetry_equiv_pos_as_xyz
'x,y,z'
loop_
_atom_site_label
_atom_site_fract_x
_atom_site_fract_y
_atom_site_fract_z
Ba1 0.0000 0.0000 0.0000
Ba2 0.0033 0.5192 0.7840
Ba3 0.0102 0.0280 0.5368
Ba4 0.5020 0.6298 0.0519
Ba5 0.5063 0.1055 0.2756
Ba6 0.5165 0.5921 0.5240
W1 0.0092 0.5891 0.2865
W2 0.5023 0.0323 0.7707
O1 0.0249 0.6266 0.5023
O2 0.1720 0.8527 0.2560
O3 0.2578 0.2152 0.7754
O4 0.2890 0.8083 0.8137
O5 0.2911 0.4511 0.2891
O6 0.4571 0.9911 0.5562
O7 0.5481 0.0417 0.9900
O8 0.7135 0.2411 0.7251
O9 0.7315 0.8215 0.7722
O10 0.7337 0.7520 0.2857
O11 0.8530 0.3368 0.3150
O12 0.9851 0.5892 0.0676
```

(2)
Structure and simulated X-ray powder pattern of FeOF (a PBE+U-relaxed structure; Cu Kα, 1.54184 Å).
Peak positions follow from Bragg's law for the DFT cell and can differ from measured ones.

Top 10 peaks for 2θ = 10–90°, sorted by position:
Position (°2θ)  Rel. int.
26.56  1000
26.75  995
34.34  756
34.42  238
38.05  176
52.03  303
52.17  434
52.37  282
55.11  173
66.44  307

Structural model:
```
data_FeOF
_symmetry_space_group_name_H-M 'P -1'
_symmetry_Int_Tables_number 2
_cell_length_a 6.2593
_cell_length_b 9.4568
_cell_length_c 9.4621
_cell_angle_alpha 90.39
_cell_angle_beta 90.22
_cell_angle_gamma 90.02
loop_
_symmetry_equiv_pos_as_xyz
'x,y,z'
'-x,-y,-z'
loop_
_atom_site_label
_atom_site_fract_x
_atom_site_fract_y
_atom_site_fract_z
Fe1 0.0171 0.2584 0.2585
Fe2 0.0183 0.7497 0.2504
Fe3 0.2302 0.5081 0.4900
Fe4 0.2682 0.9919 0.0096
Fe5 0.2747 0.0089 0.4897
Fe6 0.2746 0.4911 0.0104
Fe7 0.4804 0.2416 0.2415
Fe8 0.4811 0.7507 0.2492
O1 0.0040 0.5974 0.5970
O2 0.2401 0.8477 0.1528
O3 0.2474 0.3474 0.1539
O4 0.2466 0.6529 0.3464
O5 0.2481 0.1531 0.3466
O6 0.4963 0.3998 0.9005
O7 0.4964 0.9028 0.9030
O8 0.4970 0.0995 0.6004
F1 0.0033 0.9035 0.9030
F2 0.0037 0.0953 0.5956
F3 0.0040 0.4048 0.9042
F4 0.2385 0.1530 0.8478
F5 0.2450 0.3462 0.6531
F6 0.2463 0.6535 0.8473
F7 0.2468 0.8467 0.6528
F8 0.4965 0.5961 0.5966
```

(3)
Structure and simulated X-ray powder pattern of Na5VO5 (a PBE+U-relaxed structure; Cu Kα, 1.54184 Å).
Peak positions follow from Bragg's law for the DFT cell and can differ from measured ones.

Top 10 peaks for 2θ = 10–90°, sorted by position:
Position (°2θ)  Rel. int.
17.29  688
19.93  771
22.01  803
33.34  537
33.82  513
35.62  835
40.17  1000
40.95  683
49.73  475
54.75  357

Structural model:
```
data_Na5VO5
_symmetry_space_group_name_H-M 'C 1 2/c 1'
_symmetry_Int_Tables_number 15
_cell_length_a 6.2325
_cell_length_b 10.0817
_cell_length_c 9.9708
_cell_angle_alpha 90.00
_cell_angle_beta 107.14
_cell_angle_gamma 90.00
loop_
_symmetry_equiv_pos_as_xyz
'x,y,z'
'-x,-y,-z'
'-x,y,-z+1/2'
'x,-y,z+1/2'
'x+1/2,y+1/2,z'
'-x+1/2,-y+1/2,-z'
'-x+1/2,y+1/2,-z+1/2'
'x+1/2,-y+1/2,z+1/2'
loop_
_atom_site_label
_atom_site_fract_x
_atom_site_fract_y
_atom_site_fract_z
Na1 0.0000 0.1659 0.2500
Na2 0.1718 0.1132 0.5524
Na3 0.1717 0.3456 0.0802
V1 0.0000 0.4069 0.7500
O1 0.0000 0.4151 0.2500
O2 0.1248 0.3305 0.6242
O3 0.2083 0.1065 0.1085
```